For LiMnHgF6, a DFT-relaxed cell (GGA+U, Alexandria) gives the theoretical powder diffraction line list in this record (λ = 1.5418 Å (Cu Kα)).
Intensities are scaled so that the largest is 100.

The 6 most intense peaks (5° ≤ 2θ ≤ 70°), low angle first:
h k l, two_theta, I (rel.)
1 0 0, 19.45, 47
1 0 2, 26.51, 100
2 -1 2, 38.67, 22
2 0 2, 43.64, 25
1 1 4, 50.48, 31
2 1 2, 56.46, 25

Crystal structure
```
data_LiMnHgF6
_chemical_formula_sum 'Li2 Mn2 Hg2 F12'
_cell_length_a 5.2709
_cell_length_b 5.2709
_cell_length_c 9.9401
_cell_angle_alpha 90.00
_cell_angle_beta 90.00
_cell_angle_gamma 120.00
_space_group_name_H-M_alt 'P -3 1 c'
_space_group_IT_number 163
_space_group_name_Hall '-P 3 2c'
loop_
_atom_site_label
_atom_site_fract_x
_atom_site_fract_y
_atom_site_fract_z
_atom_site_occupancy
Li1 0.3333 0.6667 0.2500 1
Mn1 0.3333 0.6667 0.7500 1
Hg1 0.0000 0.0000 0.0000 1
F1 0.0130 0.3639 0.6406 1
```